Record 1
For Li2Ti3CrO8, a structure optimized by DFT (PBE+U) gives the calculated powder XRD pattern in this record (Cu Kα).
No peak broadening, texture or thermal motion is included.

Principal peaks in the range 10° ≤ 2θ ≤ 90°, by angle:
2θ 18.09, rel. 290
2θ 18.21, rel. 1000
2θ 35.10, rel. 153
2θ 35.25, rel. 435
2θ 42.80, rel. 765
2θ 56.63, rel. 204
2θ 61.96, rel. 229
2θ 62.29, rel. 227
2θ 65.47, rel. 80
2θ 78.54, rel. 85

Atomic structure:
a b c (Å): 5.9619 5.9619 14.7112
angles (deg): 90.00 90.00 120.00
Space group R-3m (No. 166, hexagonal axes)
Unique sites:
Li 0.0000 0.0000 0.1248 (multiplicity 6)
Ti 0.0000 0.5000 0.0000 (multiplicity 9)
Cr 0.0000 0.0000 0.5000 (multiplicity 3)
O 0.0000 0.0000 0.2621 (multiplicity 6)
O 0.0326 0.5163 0.2557 (multiplicity 18)

Record 2
For Li2TiCrO4, a structure optimized by DFT (PBE+U) gives the calculated powder XRD pattern in this record (Cu Kα).
No peak broadening, texture or thermal motion is included.

Principal peaks in the range 10° ≤ 2θ ≤ 90°, by angle:
2θ 17.93, rel. 989
2θ 18.27, rel. 1000
2θ 33.98, rel. 200
2θ 35.64, rel. 286
2θ 41.25, rel. 634
2θ 43.19, rel. 571
2θ 43.36, rel. 555
2θ 60.27, rel. 164
2θ 61.38, rel. 311
2θ 62.86, rel. 321

Atomic structure:
a b c (Å): 8.382 8.348 8.759
angles (deg): 90.00 91.65 90.00
Space group C2 (No. 5)
Unique sites:
Li 0.123 0.000 0.133 (multiplicity 4)
Li 0.124 0.507 0.617 (multiplicity 4)
Li 0.126 0.253 0.865 (multiplicity 4)
Li 0.126 0.751 0.375 (multiplicity 4)
Ti 0.122 0.507 0.126 (multiplicity 4)
Ti 0.126 0.996 0.622 (multiplicity 4)
Cr 0.123 0.254 0.378 (multiplicity 4)
Cr 0.129 0.751 0.873 (multiplicity 4)
O 0.118 0.243 0.612 (multiplicity 4)
O 0.119 0.011 0.385 (multiplicity 4)
O 0.119 0.736 0.140 (multiplicity 4)
O 0.123 0.501 0.892 (multiplicity 4)
O 0.124 0.263 0.146 (multiplicity 4)
O 0.128 0.495 0.368 (multiplicity 4)
O 0.133 0.000 0.856 (multiplicity 4)
O 0.136 0.765 0.609 (multiplicity 4)

Record 3
For Li6Ti7Cr5O24, a structure optimized by DFT (PBE+U) gives the calculated powder XRD pattern in this record (Cu Kα).
No peak broadening, texture or thermal motion is included.

Principal peaks in the range 10° ≤ 2θ ≤ 90°, by angle:
2θ 18.19, rel. 1000
2θ 18.25, rel. 353
2θ 35.20, rel. 212
2θ 35.29, rel. 354
2θ 42.83, rel. 530
2θ 42.90, rel. 264
2θ 56.63, rel. 131
2θ 62.04, rel. 157
2θ 62.26, rel. 156
2θ 62.34, rel. 156

Atomic structure:
a b c (Å): 5.956 5.984 13.328
angles (deg): 77.21 77.18 89.87
Space group P-1 (No. 2)
Unique sites:
Li 0.042 0.289 0.418 (multiplicity 2)
Li 0.293 0.045 0.917 (multiplicity 2)
Li 0.378 0.625 0.751 (multiplicity 2)
Ti 0.000 0.500 0.000 (multiplicity 1)
Ti 0.171 0.169 0.666 (multiplicity 2)
Ti 0.171 0.666 0.166 (multiplicity 2)
Ti 0.330 0.834 0.336 (multiplicity 2)
Cr 0.163 0.167 0.167 (multiplicity 2)
Cr 0.500 0.000 0.500 (multiplicity 1)
Cr 0.500 0.500 0.000 (multiplicity 1)
Cr 0.500 0.500 0.500 (multiplicity 1)
O 0.057 0.573 0.843 (multiplicity 2)
O 0.066 0.094 0.823 (multiplicity 2)
O 0.084 0.057 0.327 (multiplicity 2)
O 0.087 0.611 0.325 (multiplicity 2)
O 0.241 0.274 0.008 (multiplicity 2)
O 0.241 0.723 0.009 (multiplicity 2)
O 0.267 0.245 0.511 (multiplicity 2)
O 0.277 0.756 0.489 (multiplicity 2)
O 0.385 0.907 0.176 (multiplicity 2)
O 0.391 0.424 0.160 (multiplicity 2)
O 0.422 0.393 0.660 (multiplicity 2)
O 0.422 0.947 0.661 (multiplicity 2)

Record 4
For Li4TiCrO6, a structure optimized by DFT (PBE+U) gives the calculated powder XRD pattern in this record (Cu Kα).
No peak broadening, texture or thermal motion is included.

Principal peaks in the range 10° ≤ 2θ ≤ 90°, by angle:
2θ 18.37, rel. 875
2θ 20.19, rel. 174
2θ 21.16, rel. 313
2θ 23.67, rel. 216
2θ 27.43, rel. 133
2θ 35.95, rel. 295
2θ 43.57, rel. 1000
2θ 63.02, rel. 170
2θ 63.22, rel. 86
2θ 63.59, rel. 168

Atomic structure:
a b c (Å): 5.073 8.783 9.799
angles (deg): 98.46 94.78 90.14
Space group P1 (No. 1)
Unique sites:
Li 0.000 0.000 0.000 (multiplicity 1)
Li 0.005 0.334 0.001 (multiplicity 1)
Li 0.024 0.663 0.001 (multiplicity 1)
Li 0.135 0.457 0.753 (multiplicity 1)
Li 0.256 0.251 0.499 (multiplicity 1)
Li 0.265 0.908 0.497 (multiplicity 1)
Li 0.269 0.582 0.501 (multiplicity 1)
Li 0.387 0.706 0.250 (multiplicity 1)
Li 0.506 0.501 0.999 (multiplicity 1)
Li 0.516 0.157 0.997 (multiplicity 1)
Li 0.528 0.827 0.997 (multiplicity 1)
Li 0.635 0.954 0.748 (multiplicity 1)
Li 0.746 0.749 0.500 (multiplicity 1)
Li 0.770 0.079 0.499 (multiplicity 1)
Li 0.776 0.413 0.503 (multiplicity 1)
Li 0.886 0.203 0.249 (multiplicity 1)
Ti 0.133 0.793 0.746 (multiplicity 1)
Ti 0.380 0.038 0.245 (multiplicity 1)
Ti 0.398 0.372 0.249 (multiplicity 1)
Ti 0.898 0.542 0.257 (multiplicity 1)
Cr 0.141 0.129 0.751 (multiplicity 1)
Cr 0.633 0.619 0.751 (multiplicity 1)
Cr 0.642 0.284 0.752 (multiplicity 1)
Cr 0.880 0.871 0.250 (multiplicity 1)
O 0.054 0.724 0.366 (multiplicity 1)
O 0.081 0.044 0.361 (multiplicity 1)
O 0.085 0.404 0.368 (multiplicity 1)
O 0.185 0.863 0.138 (multiplicity 1)
O 0.191 0.509 0.135 (multiplicity 1)
O 0.223 0.187 0.135 (multiplicity 1)
O 0.296 0.978 0.861 (multiplicity 1)
O 0.328 0.293 0.862 (multiplicity 1)
O 0.344 0.653 0.865 (multiplicity 1)
O 0.437 0.759 0.633 (multiplicity 1)
O 0.448 0.123 0.637 (multiplicity 1)
O 0.482 0.439 0.642 (multiplicity 1)
O 0.548 0.224 0.363 (multiplicity 1)
O 0.585 0.547 0.365 (multiplicity 1)
O 0.592 0.902 0.364 (multiplicity 1)
O 0.686 0.009 0.133 (multiplicity 1)
O 0.691 0.367 0.136 (multiplicity 1)
O 0.728 0.693 0.139 (multiplicity 1)
O 0.799 0.470 0.862 (multiplicity 1)
O 0.828 0.156 0.864 (multiplicity 1)
O 0.832 0.794 0.862 (multiplicity 1)
O 0.937 0.614 0.639 (multiplicity 1)
O 0.950 0.255 0.636 (multiplicity 1)
O 0.976 0.941 0.637 (multiplicity 1)

Record 5
For Li2TiCr2O6, a structure optimized by DFT (PBE+U) gives the calculated powder XRD pattern in this record (Cu Kα).
No peak broadening, texture or thermal motion is included.

Principal peaks in the range 10° ≤ 2θ ≤ 90°, by angle:
2θ 17.42, rel. 1000
2θ 34.83, rel. 64
2θ 35.93, rel. 287
2θ 39.18, rel. 254
2θ 44.11, rel. 360
2θ 50.39, rel. 145
2θ 57.68, rel. 174
2θ 63.17, rel. 160
2θ 76.21, rel. 60
2θ 84.21, rel. 67

Atomic structure:
a b c (Å): 8.934 5.151 10.184
angles (deg): 90.00 90.00 90.00
Space group Cmce (No. 64)
Unique sites:
Li 0.250 0.108 0.250 (multiplicity 8)
Ti 0.000 0.000 0.000 (multiplicity 4)
Cr 0.164 0.000 0.500 (multiplicity 8)
O 0.000 0.177 0.598 (multiplicity 8)
O 0.169 0.161 0.894 (multiplicity 16)

Record 6
For LiTiV2CrO10, a structure optimized by DFT (PBE+U) gives the calculated powder XRD pattern in this record (Cu Kα).
No peak broadening, texture or thermal motion is included.

Principal peaks in the range 10° ≤ 2θ ≤ 90°, by angle:
2θ 16.31, rel. 1000
2θ 21.29, rel. 127
2θ 26.85, rel. 267
2θ 27.39, rel. 294
2θ 30.83, rel. 141
2θ 32.04, rel. 223
2θ 32.30, rel. 107
2θ 35.80, rel. 69
2θ 41.71, rel. 81
2θ 66.58, rel. 65

Atomic structure:
a b c (Å): 5.443 6.512 6.650
angles (deg): 90.00 92.93 90.00
Space group Pm (No. 6)
Unique sites:
Li 0.000 0.000 0.000 (multiplicity 1)
Ti 0.559 0.000 0.185 (multiplicity 1)
V 0.481 0.000 0.699 (multiplicity 1)
V 0.687 0.500 0.174 (multiplicity 1)
Cr 0.580 0.500 0.676 (multiplicity 1)
O 0.343 0.000 0.966 (multiplicity 1)
O 0.391 0.500 0.156 (multiplicity 1)
O 0.397 0.297 0.681 (multiplicity 2)
O 0.408 0.000 0.413 (multiplicity 1)
O 0.744 0.500 0.467 (multiplicity 1)
O 0.773 0.500 0.880 (multiplicity 1)
O 0.776 0.225 0.165 (multiplicity 2)
O 0.781 0.000 0.751 (multiplicity 1)

Record 7
For LiTiV2CrO10, a structure optimized by DFT (PBE+U) gives the calculated powder XRD pattern in this record (Cu Kα).
No peak broadening, texture or thermal motion is included.

Principal peaks in the range 10° ≤ 2θ ≤ 90°, by angle:
2θ 18.20, rel. 1000
2θ 22.18, rel. 135
2θ 23.18, rel. 195
2θ 27.04, rel. 800
2θ 32.07, rel. 369
2θ 33.49, rel. 283
2θ 40.01, rel. 87
2θ 42.71, rel. 87
2θ 44.43, rel. 108
2θ 55.76, rel. 174

Atomic structure:
a b c (Å): 9.272 9.400 4.885
angles (deg): 90.00 93.65 90.00
Space group C2 (No. 5)
Unique sites:
Li 0.000 0.000 0.000 (multiplicity 2)
Ti 0.000 0.749 0.500 (multiplicity 2)
V 0.243 0.997 0.605 (multiplicity 4)
Cr 0.000 0.248 0.500 (multiplicity 2)
O 0.097 0.138 0.726 (multiplicity 4)
O 0.106 0.868 0.734 (multiplicity 4)
O 0.114 0.354 0.326 (multiplicity 4)
O 0.123 0.635 0.318 (multiplicity 4)
O 0.209 0.997 0.273 (multiplicity 4)

Record 8
For LiTiV2CrO10, a structure optimized by DFT (PBE+U) gives the calculated powder XRD pattern in this record (Cu Kα).
No peak broadening, texture or thermal motion is included.

Principal peaks in the range 10° ≤ 2θ ≤ 90°, by angle:
2θ 16.76, rel. 1000
2θ 21.58, rel. 294
2θ 27.18, rel. 702
2θ 32.10, rel. 504
2θ 36.63, rel. 117
2θ 42.55, rel. 139
2θ 52.46, rel. 115
2θ 56.06, rel. 141
2θ 58.94, rel. 97
2θ 66.08, rel. 94

Atomic structure:
a b c (Å): 6.562 6.562 5.291
angles (deg): 90.00 90.00 90.00
Space group P-4m2 (No. 115)
Unique sites:
Li 0.000 0.000 0.000 (multiplicity 1)
Ti 0.500 0.500 0.500 (multiplicity 1)
V 0.000 0.500 0.390 (multiplicity 2)
Cr 0.000 0.000 0.500 (multiplicity 1)
O 0.000 0.205 0.296 (multiplicity 4)
O 0.000 0.500 0.696 (multiplicity 2)
O 0.270 0.500 0.302 (multiplicity 4)